1.
For MgIn2Se4, DFT lattice parameters and positions (PBE) gives the computed powder X-ray diffraction pattern in this record (CuKα).
No peak broadening, texture or thermal motion is included.

Top 12 peaks for 2θ from 15° to 90°, by intensity:
2θ = 47.52°, intensity 100; 2θ = 23.24°, intensity 77; 2θ = 26.58°, intensity 64; 2θ = 24.05°, intensity 48; 2θ = 27.53°, intensity 47; 2θ = 37.95°, intensity 32; 2θ = 29.79°, intensity 31; 2θ = 37.05°, intensity 30; 2θ = 40.66°, intensity 28; 2θ = 75.38°, intensity 26; 2θ = 49.24°, intensity 26; 2θ = 31.68°, intensity 23

Cell and atoms:
Unit cell a=8.042 b=8.042 c=8.042 alpha=107.73 beta=107.73 gamma=113.01
Sites, in units of the cell vectors:
Mg (0.000, 0.000, 0.000)
Mg (0.750, 0.250, 0.500)
In (0.253, 0.625, 0.128)
In (0.375, 0.503, 0.628)
In (0.497, 0.125, 0.872)
In (0.875, 0.747, 0.372)
Se (0.107, 0.365, 0.257)
Se (0.108, 0.850, 0.743)
Se (0.115, 0.357, 0.757)
Se (0.150, 0.893, 0.258)
Se (0.600, 0.358, 0.243)
Se (0.635, 0.892, 0.742)
Se (0.642, 0.885, 0.242)
Se (0.643, 0.400, 0.758)



2.
For MgInSe3, DFT lattice parameters and positions (PBE) gives the computed powder X-ray diffraction pattern in this record (CuKα).
No peak broadening, texture or thermal motion is included.

Top 12 peaks for 2θ from 15° to 90°, by intensity:
2θ = 23.19°, intensity 100; 2θ = 31.50°, intensity 79; 2θ = 41.50°, intensity 30; 2θ = 47.72°, intensity 27; 2θ = 28.20°, intensity 26; 2θ = 39.52°, intensity 25; 2θ = 54.10°, intensity 23; 2θ = 37.32°, intensity 20; 2θ = 27.48°, intensity 18; 2θ = 47.40°, intensity 18; 2θ = 30.89°, intensity 16; 2θ = 45.15°, intensity 14

Cell and atoms:
Unit cell a=6.567 b=6.567 c=8.027 alpha=98.54 beta=98.54 gamma=119.46
Sites, in units of the cell vectors:
Mg (0.168, 0.832, 0.000)
Mg (0.832, 0.168, 0.000)
In (0.419, 0.419, 0.761)
In (0.581, 0.581, 0.239)
Se (0.030, 0.419, 0.763)
Se (0.195, 0.195, 0.242)
Se (0.419, 0.030, 0.763)
Se (0.581, 0.970, 0.237)
Se (0.805, 0.805, 0.758)
Se (0.970, 0.581, 0.237)



3.
For MgInSe3, DFT lattice parameters and positions (PBE) gives the computed powder X-ray diffraction pattern in this record (CuKα).
No peak broadening, texture or thermal motion is included.

Top 12 peaks for 2θ from 15° to 90°, by intensity:
2θ = 28.51°, intensity 100; 2θ = 17.65°, intensity 82; 2θ = 26.61°, intensity 68; 2θ = 31.49°, intensity 49; 2θ = 32.50°, intensity 47; 2θ = 47.81°, intensity 38; 2θ = 39.62°, intensity 38; 2θ = 37.82°, intensity 35; 2θ = 45.40°, intensity 32; 2θ = 55.56°, intensity 31; 2θ = 43.67°, intensity 28; 2θ = 31.92°, intensity 27

Cell and atoms:
Unit cell a=10.745 b=10.745 c=10.745 alpha=35.72 beta=35.72 gamma=35.72
Sites, in units of the cell vectors:
Mg (0.167, 0.167, 0.167)
Mg (0.833, 0.833, 0.833)
In (0.440, 0.440, 0.440)
In (0.560, 0.560, 0.560)
Se (0.052, 0.826, 0.439)
Se (0.174, 0.561, 0.948)
Se (0.439, 0.052, 0.826)
Se (0.561, 0.948, 0.174)
Se (0.826, 0.439, 0.052)
Se (0.948, 0.174, 0.561)



4.
For MgIn2Se4, DFT lattice parameters and positions (PBE) gives the computed powder X-ray diffraction pattern in this record (CuKα).
No peak broadening, texture or thermal motion is included.

Top 12 peaks for 2θ from 15° to 90°, by intensity:
2θ = 25.22°, intensity 100; 2θ = 43.71°, intensity 64; 2θ = 35.18°, intensity 44; 2θ = 46.22°, intensity 32; 2θ = 30.70°, intensity 29; 2θ = 20.03°, intensity 25; 2θ = 38.61°, intensity 24; 2θ = 50.35°, intensity 21; 2θ = 44.23°, intensity 14; 2θ = 26.40°, intensity 14; 2θ = 29.42°, intensity 14; 2θ = 51.13°, intensity 14

Cell and atoms:
Unit cell a=13.514 b=13.514 c=13.514 alpha=17.63 beta=17.63 gamma=17.63
Sites, in units of the cell vectors:
Mg (0.000, 0.000, 0.000)
In (0.237, 0.237, 0.237)
In (0.763, 0.763, 0.763)
Se (0.129, 0.129, 0.129)
Se (0.300, 0.300, 0.300)
Se (0.700, 0.700, 0.700)
Se (0.871, 0.871, 0.871)



5.
For MgIn2Se4, DFT lattice parameters and positions (PBE) gives the computed powder X-ray diffraction pattern in this record (CuKα).
No peak broadening, texture or thermal motion is included.

Top 12 peaks for 2θ from 15° to 90°, by intensity:
2θ = 36.90°, intensity 100; 2θ = 28.57°, intensity 91; 2θ = 18.21°, intensity 57; 2θ = 45.18°, intensity 53; 2θ = 29.07°, intensity 43; 2θ = 37.30°, intensity 40; 2θ = 44.15°, intensity 34; 2θ = 26.24°, intensity 29; 2θ = 48.04°, intensity 27; 2θ = 23.41°, intensity 26; 2θ = 59.14°, intensity 20; 2θ = 25.84°, intensity 19

Cell and atoms:
Unit cell a=13.805 b=8.205 c=6.738 alpha=90.00 beta=90.00 gamma=90.00
Sites, in units of the cell vectors:
Mg (0.093, 0.250, 0.070)
Mg (0.407, 0.750, 0.570)
Mg (0.593, 0.250, 0.430)
Mg (0.907, 0.750, 0.930)
In (0.000, 0.000, 0.500)
In (0.000, 0.500, 0.500)
In (0.229, 0.750, 0.000)
In (0.271, 0.250, 0.500)
In (0.500, 0.000, 0.000)
In (0.500, 0.500, 0.000)
In (0.729, 0.750, 0.500)
In (0.771, 0.250, 0.000)
Se (0.074, 0.750, 0.752)
Se (0.093, 0.250, 0.690)
Se (0.167, 0.002, 0.257)
Se (0.167, 0.498, 0.257)
Se (0.333, 0.502, 0.757)
Se (0.333, 0.998, 0.757)
Se (0.407, 0.750, 0.190)
Se (0.426, 0.250, 0.252)
Se (0.574, 0.750, 0.748)
Se (0.593, 0.250, 0.810)
Se (0.667, 0.002, 0.243)
Se (0.667, 0.498, 0.243)
Se (0.833, 0.502, 0.743)
Se (0.833, 0.998, 0.743)
Se (0.907, 0.750, 0.310)
Se (0.926, 0.250, 0.248)



6.
For MgIn2Se4, DFT lattice parameters and positions (PBE) gives the computed powder X-ray diffraction pattern in this record (CuKα).
No peak broadening, texture or thermal motion is included.

Top 12 peaks for 2θ from 15° to 90°, by intensity:
2θ = 31.48°, intensity 100; 2θ = 33.56°, intensity 97; 2θ = 29.81°, intensity 95; 2θ = 26.54°, intensity 87; 2θ = 41.12°, intensity 69; 2θ = 46.59°, intensity 69; 2θ = 43.96°, intensity 51; 2θ = 46.23°, intensity 50; 2θ = 41.30°, intensity 34; 2θ = 55.98°, intensity 31; 2θ = 24.05°, intensity 27; 2θ = 67.75°, intensity 24

Cell and atoms:
Unit cell a=12.963 b=3.928 c=13.523 alpha=90.00 beta=90.00 gamma=90.00
Sites, in units of the cell vectors:
Mg (0.123, 0.250, 0.069)
Mg (0.377, 0.750, 0.569)
Mg (0.623, 0.250, 0.431)
Mg (0.877, 0.750, 0.931)
In (0.109, 0.750, 0.413)
In (0.147, 0.750, 0.800)
In (0.353, 0.250, 0.300)
In (0.391, 0.250, 0.913)
In (0.609, 0.750, 0.087)
In (0.647, 0.750, 0.700)
In (0.853, 0.250, 0.200)
In (0.891, 0.250, 0.587)
Se (0.022, 0.250, 0.891)
Se (0.035, 0.750, 0.617)
Se (0.214, 0.750, 0.239)
Se (0.247, 0.750, 0.979)
Se (0.253, 0.250, 0.479)
Se (0.286, 0.250, 0.739)
Se (0.465, 0.250, 0.117)
Se (0.478, 0.750, 0.391)
Se (0.522, 0.250, 0.609)
Se (0.535, 0.750, 0.883)
Se (0.714, 0.750, 0.261)
Se (0.747, 0.750, 0.521)
Se (0.753, 0.250, 0.021)
Se (0.786, 0.250, 0.761)
Se (0.965, 0.250, 0.383)
Se (0.978, 0.750, 0.109)



7.
For MgIn2Se4, DFT lattice parameters and positions (PBE) gives the computed powder X-ray diffraction pattern in this record (CuKα).
No peak broadening, texture or thermal motion is included.

Top 12 peaks for 2θ from 15° to 90°, by intensity:
2θ = 16.72°, intensity 100; 2θ = 37.03°, intensity 75; 2θ = 35.88°, intensity 60; 2θ = 25.62°, intensity 59; 2θ = 27.32°, intensity 47; 2θ = 28.45°, intensity 47; 2θ = 33.81°, intensity 44; 2θ = 15.70°, intensity 44; 2θ = 37.25°, intensity 39; 2θ = 46.72°, intensity 31; 2θ = 37.81°, intensity 29; 2θ = 41.33°, intensity 29

Cell and atoms:
Unit cell a=9.661 b=5.736 c=13.908 alpha=90.00 beta=90.00 gamma=90.00
Sites, in units of the cell vectors:
Mg (0.152, 0.250, 0.064)
Mg (0.348, 0.750, 0.564)
Mg (0.652, 0.250, 0.436)
Mg (0.848, 0.750, 0.936)
In (0.087, 0.750, 0.248)
In (0.143, 0.250, 0.527)
In (0.357, 0.750, 0.027)
In (0.413, 0.250, 0.748)
In (0.587, 0.750, 0.252)
In (0.643, 0.250, 0.973)
In (0.857, 0.750, 0.473)
In (0.913, 0.250, 0.752)
Se (0.067, 0.750, 0.054)
Se (0.144, 0.750, 0.443)
Se (0.171, 0.515, 0.705)
Se (0.171, 0.985, 0.705)
Se (0.329, 0.015, 0.205)
Se (0.329, 0.485, 0.205)
Se (0.356, 0.250, 0.943)
Se (0.433, 0.250, 0.554)
Se (0.567, 0.750, 0.446)
Se (0.644, 0.750, 0.057)
Se (0.671, 0.515, 0.795)
Se (0.671, 0.985, 0.795)
Se (0.829, 0.015, 0.295)
Se (0.829, 0.485, 0.295)
Se (0.856, 0.250, 0.557)
Se (0.933, 0.250, 0.946)



8.
For MgIn2Se4, DFT lattice parameters and positions (PBE) gives the computed powder X-ray diffraction pattern in this record (CuKα).
No peak broadening, texture or thermal motion is included.

Top 12 peaks for 2θ from 15° to 90°, by intensity:
2θ = 31.22°, intensity 100; 2θ = 44.74°, intensity 86; 2θ = 25.79°, intensity 39; 2θ = 73.99°, intensity 30; 2θ = 82.48°, intensity 26; 2θ = 40.92°, intensity 25; 2θ = 55.56°, intensity 24; 2θ = 46.91°, intensity 13; 2θ = 65.13°, intensity 13; 2θ = 57.43°, intensity 9; 2θ = 62.23°, intensity 8; 2θ = 88.20°, intensity 8

Cell and atoms:
Unit cell a=8.103 b=8.103 c=8.103 alpha=60.00 beta=60.00 gamma=60.00
Sites, in units of the cell vectors:
Mg (0.125, 0.125, 0.125)
Mg (0.875, 0.875, 0.875)
In (0.000, 0.500, 0.500)
In (0.500, 0.000, 0.500)
In (0.500, 0.500, 0.000)
In (0.500, 0.500, 0.500)
Se (0.257, 0.257, 0.257)
Se (0.257, 0.257, 0.728)
Se (0.257, 0.728, 0.257)
Se (0.272, 0.743, 0.743)
Se (0.728, 0.257, 0.257)
Se (0.743, 0.272, 0.743)
Se (0.743, 0.743, 0.272)
Se (0.743, 0.743, 0.743)